(1)
The following is a theoretical powder XRD pattern of Sr2LaBiO6. It was derived from the GGA-PBE geometry in the Materials Project, using Cu Kα (weighted mean of Kα1 and Kα2).
Kinematic intensities with the Lorentz-polarization factor, no thermal factor.

Largest 10 diffraction maxima, by angle, 15° ≤ 2θ ≤ 90°:
Position (°2θ)  intensity  h k l
17.59  5  1 1 1
20.33  18  2 0 0
28.91  100  2 2 0
41.34  27  4 0 0
46.49  9  4 2 0
51.24  47  4 2 2
59.90  16  4 4 0
67.86  19  6 2 0
75.39  5  4 4 4
82.67  24  6 2 4

Atomic structure:
abc: 8.735 8.735 8.735
angles: 90.00 90.00 90.00
Space group Pn-3 (No. 201, origin choice 2)
Asymmetric unit:
Sr 0.250 0.250 0.250
Sr 0.250 0.250 0.750
La 0.000 0.000 0.000
Bi 0.000 0.000 0.500
O 0.040 0.551 0.763

=====

(2)
The following is a theoretical powder XRD pattern of LaTaBi2O7. It was derived from the GGA-PBE geometry in the Materials Project, using Cu Kα (weighted mean of Kα1 and Kα2).
Kinematic intensities with the Lorentz-polarization factor, no thermal factor.

Largest 10 diffraction maxima, by angle, 15° ≤ 2θ ≤ 90°:
Position (°2θ)  intensity  h k l
27.85  94  0 2 2
28.01  100  2 0 2
32.23  26  0 0 4
32.42  49  2 2 0
46.35  75  0 4 0
46.72  14  4 0 0
54.87  31  2 0 6
54.99  31  2 4 2
55.26  29  4 2 2
74.59  19  2 4 6

Atomic structure:
abc: 7.777 7.844 11.110
angles: 90.00 90.00 90.00
Space group Imma (No. 74)
Asymmetric unit:
La 0.250 0.250 0.250
Ta 0.000 0.000 0.000
Bi 0.000 0.000 0.500
Bi 0.250 0.250 0.750
O 0.000 0.250 0.018
O 0.000 0.250 0.370
O 0.000 0.250 0.632
O 0.190 0.008 0.876

=====

(3)
The following is a theoretical powder XRD pattern of LaTi6Bi7O24. It was derived from the GGA-PBE geometry in the Materials Project, using Cu Kα (weighted mean of Kα1 and Kα2).
Kinematic intensities with the Lorentz-polarization factor, no thermal factor.

Largest 10 diffraction maxima, by angle, 15° ≤ 2θ ≤ 90°:
Position (°2θ)  intensity  h k l
15.93  27  0 0 3
22.90  23  1 -1 1
29.54  100  -1 1 3
29.76  100  1 1 3
32.43  39  0 2 -1
32.73  36  2 0 0
37.72  24  0 0 7
47.02  28  2 2 -1
50.58  21  0 2 6
56.32  24  1 3 2

Atomic structure:
abc: 5.473 5.521 16.917
angles: 99.37 90.04 90.67
Space group P1 (No. 1)
Asymmetric unit:
La 0.000 0.000 0.000
Ti 0.002 0.587 0.129
Ti 0.008 0.322 0.617
Ti 0.493 0.947 0.872
Ti 0.502 0.821 0.616
Ti 0.504 0.072 0.129
Ti 0.993 0.450 0.875
Bi 0.006 0.830 0.741
Bi 0.040 0.105 0.294
Bi 0.492 0.604 0.296
Bi 0.501 0.472 0.009
Bi 0.512 0.334 0.738
Bi 0.544 0.181 0.450
Bi 0.996 0.685 0.447
O 0.054 0.434 0.756
O 0.061 0.642 0.234
O 0.202 0.639 0.626
O 0.225 0.229 0.897
O 0.227 0.310 0.093
O 0.230 0.740 0.889
O 0.255 0.417 0.375
O 0.268 0.809 0.094
O 0.268 0.914 0.374
O 0.293 0.137 0.625
O 0.420 0.936 0.756
O 0.442 0.147 0.234
O 0.554 0.784 0.511
O 0.557 0.053 0.989
O 0.716 0.369 0.116
O 0.720 0.584 0.649
O 0.722 0.231 0.855
O 0.745 0.731 0.859
O 0.756 0.414 0.370
O 0.768 0.912 0.371
O 0.770 0.087 0.653
O 0.780 0.871 0.122
O 0.923 0.540 0.989
O 0.946 0.272 0.512

=====

(4)
The following is a theoretical powder XRD pattern of LaTi3Bi3O12. It was derived from the GGA-PBE geometry in the Materials Project, using Cu Kα (weighted mean of Kα1 and Kα2).
Kinematic intensities with the Lorentz-polarization factor, no thermal factor.

Largest 10 diffraction maxima, by angle, 15° ≤ 2θ ≤ 90°:
Position (°2θ)  intensity  h k l
15.85  24  3 0 0
23.20  35  1 1 -1
29.66  100  3 1 1
29.78  95  4 1 -1
32.75  37  1 0 -2
32.89  35  0 2 0
39.44  25  5 0 -2
47.09  45  1 2 -2
50.76  30  7 2 0
56.72  30  3 3 1

Atomic structure:
abc: 16.983 5.447 5.469
angles: 90.00 98.96 90.00
Space group Pc (No. 7)
Asymmetric unit:
La 0.000 0.248 0.000
Ti 0.126 0.251 0.566
Ti 0.611 0.247 0.305
Ti 0.870 0.251 0.425
Bi 0.291 0.274 0.109
Bi 0.445 0.227 0.689
Bi 0.736 0.257 0.817
O 0.092 0.487 0.292
O 0.111 0.017 0.829
O 0.232 0.301 0.627
O 0.366 0.003 0.912
O 0.370 0.496 0.412
O 0.507 0.189 0.257
O 0.621 0.454 0.623
O 0.647 0.028 0.062
O 0.752 0.323 0.415
O 0.855 0.044 0.148
O 0.885 0.455 0.751
O 0.984 0.197 0.500

=====

(5)
The following is a theoretical powder XRD pattern of La4Bi2S9. It was derived from the GGA-PBE geometry in the Materials Project, using Cu Kα (weighted mean of Kα1 and Kα2).
Kinematic intensities with the Lorentz-polarization factor, no thermal factor.

Largest 10 diffraction maxima, by angle, 15° ≤ 2θ ≤ 90°:
Position (°2θ)  intensity  h k l
24.02  100  4 0 3
24.89  93  8 0 0
26.14  28  1 1 2
27.87  31  5 1 1
34.13  51  7 1 2
35.58  26  1 1 4
41.93  35  11 1 1
43.35  29  12 0 3
44.80  24  0 2 0
51.47  27  4 2 3

Atomic structure:
abc: 28.589 4.046 12.993
angles: 90.00 90.00 90.00
Space group Pnma (No. 62)
Asymmetric unit:
La 0.053 0.250 0.243
La 0.179 0.750 0.760
La 0.187 0.250 0.104
La 0.194 0.750 0.423
Bi 0.060 0.250 0.573
Bi 0.065 0.750 0.941
S 0.003 0.750 0.112
S 0.043 0.750 0.404
S 0.058 0.750 0.711
S 0.113 0.750 0.124
S 0.134 0.250 0.895
S 0.148 0.250 0.313
S 0.156 0.250 0.590
S 0.231 0.750 0.961
S 0.246 0.750 0.227

=====

(6)
The following is a theoretical powder XRD pattern of La8Bi3Sb3. It was derived from the GGA-PBE geometry in the Materials Project, using Cu Kα (weighted mean of Kα1 and Kα2).
Kinematic intensities with the Lorentz-polarization factor, no thermal factor.

Largest 10 diffraction maxima, by angle, 15° ≤ 2θ ≤ 90°:
Position (°2θ)  intensity  h k l
22.27  9  3 1 -1
28.88  100  4 0 -1
34.32  66  1 1 2
41.30  17  6 0 -4
43.41  12  5 3 -2
45.45  14  6 2 -4
47.41  20  2 4 1
58.15  20  7 1 -1
61.46  12  1 1 -5
70.86  11  6 2 -7

Atomic structure:
abc: 13.819 9.774 9.768
angles: 90.00 134.91 90.00
Space group C2 (No. 5)
Asymmetric unit:
La 0.074 0.000 0.397
La 0.075 0.360 0.259
La 0.174 0.606 0.741
La 0.180 0.751 0.112
Bi 0.000 0.057 0.000
Bi 0.249 0.428 0.123
Sb 0.000 0.303 0.500
Sb 0.124 0.680 0.374

=====

(7)
The following is a theoretical powder XRD pattern of La3ScBi5. It was derived from the GGA-PBE geometry in the Materials Project, using Cu Kα (weighted mean of Kα1 and Kα2).
Kinematic intensities with the Lorentz-polarization factor, no thermal factor.

Largest 10 diffraction maxima, by angle, 15° ≤ 2θ ≤ 90°:
Position (°2θ)  intensity  h k l
27.62  23  2 1 0
30.81  85  2 1 1
31.41  78  3 0 0
32.59  100  1 1 2
45.89  31  2 2 2
48.43  20  3 2 1
50.08  22  2 1 3
50.88  16  4 0 2
62.09  15  5 1 1
65.22  20  3 0 4

Atomic structure:
abc: 9.8663 9.8663 6.6168
angles: 90.00 90.00 120.00
Space group P6_3/mcm (No. 193)
Asymmetric unit:
La 0.0000 0.3815 0.2500
Sc 0.0000 0.0000 0.0000
Bi 0.0000 0.2603 0.7500
Bi 0.3333 0.6667 0.0000

=====

(8)
The following is a theoretical powder XRD pattern of LiMg14Bi. It was derived from the GGA-PBE geometry in the Materials Project, using Cu Kα (weighted mean of Kα1 and Kα2).
Kinematic intensities with the Lorentz-polarization factor, no thermal factor.

Largest 10 diffraction maxima, by angle, 15° ≤ 2θ ≤ 90°:
Position (°2θ)  intensity  h k l
15.98  35  1 0 0
18.11  89  1 0 1
23.39  32  1 0 2
29.17  30  1 1 1
30.29  27  1 0 3
32.28  28  2 0 0
33.43  21  2 0 1
34.32  26  0 0 4
36.69  100  2 0 2
63.01  25  2 0 6

Atomic structure:
abc: 6.4044 6.4044 10.4523
angles: 90.00 90.00 120.00
Space group P-6m2 (No. 187)
Asymmetric unit:
Li 0.0000 0.0000 0.0000
Mg 0.0017 0.5009 0.0000
Mg 0.1687 0.3375 0.2446
Mg 0.5012 0.0025 0.5000
Mg 0.6667 0.3333 0.2495
Bi 0.0000 0.0000 0.5000

=====

(9)
The following is a theoretical powder XRD pattern of LiMg6Bi. It was derived from the GGA-PBE geometry in the Materials Project, using Cu Kα (weighted mean of Kα1 and Kα2).
Kinematic intensities with the Lorentz-polarization factor, no thermal factor.

Largest 10 diffraction maxima, by angle, 15° ≤ 2θ ≤ 90°:
Position (°2θ)  intensity  h k l
15.73  33  0 0 2
16.14  100  0 1 1
16.79  29  1 0 0
23.08  29  1 0 2
23.37  91  1 1 1
27.66  30  0 1 3
32.57  65  0 2 2
33.95  29  2 0 0
36.14  39  1 0 4
36.91  74  1 2 2

Atomic structure:
abc: 5.281 6.286 11.269
angles: 90.00 90.00 90.00
Space group Amm2 (No. 38)
Asymmetric unit:
Li 0.000 0.000 0.000
Mg 0.000 0.249 0.249
Mg 0.500 0.000 0.166
Mg 0.500 0.000 0.671
Mg 0.500 0.243 0.915
Bi 0.000 0.000 0.500